[1]
Starting from a cell relaxed with PBE, the powder diffractogram of CaPmAu was simulated for Cu Ka.

Principal peaks in the range 10° ≤ 2θ ≤ 90°, sorted by position:
- 2θ = 13.6°, d = 6.517 Å, intensity 100
- 2θ = 19.4°, d = 4.582 Å, intensity 68
- 2θ = 23.1°, d = 3.852 Å, intensity 59
- 2θ = 30.5°, d = 2.928 Å, intensity 30
- 2θ = 30.8°, d = 2.901 Å, intensity 68
- 2θ = 35.5°, d = 2.526 Å, intensity 99
- 2θ = 38.7°, d = 2.329 Å, intensity 41
- 2θ = 43.8°, d = 2.068 Å, intensity 28

Cell and atoms:
Unit cell a=12.2148 b=13.8585 c=9.2696 alpha=90.00 beta=90.00 gamma=90.00
Space group Fdd2 (No. 43)
One atom of each set of equivalent atoms:
Ca  0.0888  0.1272  0.0000 x16
Pm  0.0214  0.1298  0.4182 x16
Au  0.0532  0.2310  0.6957 x16

[2]
Starting from a cell relaxed with PBE, the powder diffractogram of CaPmAu3 was simulated for Cu Ka.

Principal peaks in the range 10° ≤ 2θ ≤ 90°, sorted by position:
- 2θ = 11.5°, d = 7.703 Å, intensity 15
- 2θ = 23.0°, d = 3.866 Å, intensity 43
- 2θ = 32.4°, d = 2.763 Å, intensity 100
- 2θ = 34.9°, d = 2.568 Å, intensity 16
- 2θ = 35.6°, d = 2.525 Å, intensity 62
- 2θ = 37.5°, d = 2.396 Å, intensity 76
- 2θ = 37.9°, d = 2.372 Å, intensity 20
- 2θ = 46.5°, d = 1.953 Å, intensity 31

Cell and atoms:
Unit cell a=8.0970 b=5.5290 c=11.3660 alpha=90.00 beta=107.94 gamma=90.00
Space group P2_1/c (No. 14)
One atom of each set of equivalent atoms:
Ca  0.0925  0.1897  0.1646 x4
Pm  0.3789  0.7433  0.3960 x4
Au  0.1543  0.6899  0.1037 x4
Au  0.2139  0.2410  0.4419 x4
Au  0.4820  0.2482  0.3215 x4

[3]
Starting from a cell relaxed with PBE, the powder diffractogram of Ca2PmAu2 was simulated for Cu Ka.

Principal peaks in the range 10° ≤ 2θ ≤ 90°, sorted by position:
- 2θ = 18.9°, d = 4.687 Å, intensity 35
- 2θ = 24.0°, d = 3.715 Å, intensity 28
- 2θ = 34.6°, d = 2.593 Å, intensity 26
- 2θ = 34.9°, d = 2.571 Å, intensity 100
- 2θ = 35.5°, d = 2.526 Å, intensity 27
- 2θ = 50.4°, d = 1.809 Å, intensity 18
- 2θ = 62.2°, d = 1.493 Å, intensity 28
- 2θ = 63.4°, d = 1.467 Å, intensity 18

Cell and atoms:
Unit cell a=5.0522 b=5.1850 c=10.9622 alpha=90.00 beta=90.00 gamma=90.00
Space group Pmmn (No. 59, origin choice 2)
One atom of each set of equivalent atoms:
Ca  0.2500  0.2500  0.0013 x2
Ca  0.2500  0.2500  0.3287 x2
Pm  0.2500  0.2500  0.6614 x2
Au  0.2500  0.7500  0.1676 x2
Au  0.2500  0.7500  0.5088 x2

[4]
Starting from a cell relaxed with PBE, the powder diffractogram of CaPm3Au3 was simulated for Cu Ka.

Principal peaks in the range 10° ≤ 2θ ≤ 90°, sorted by position:
- 2θ = 12.1°, d = 7.309 Å, intensity 46
- 2θ = 16.9°, d = 5.233 Å, intensity 21
- 2θ = 33.7°, d = 2.658 Å, intensity 85
- 2θ = 34.3°, d = 2.616 Å, intensity 49
- 2θ = 35.1°, d = 2.555 Å, intensity 35
- 2θ = 35.8°, d = 2.511 Å, intensity 100
- 2θ = 39.2°, d = 2.296 Å, intensity 19
- 2θ = 49.9°, d = 1.828 Å, intensity 19

Cell and atoms:
Unit cell a=10.2532 b=10.4651 c=7.3115 alpha=90.00 beta=94.55 gamma=90.00
Space group C2/m (No. 12)
One atom of each set of equivalent atoms:
Ca  0.2494  0.0000  0.0335 x4
Pm  0.0000  0.2471  0.0000 x4
Pm  0.0000  0.3040  0.5000 x4
Pm  0.1935  0.0000  0.5137 x4
Au  0.0449  0.5000  0.2125 x4
Au  0.2456  0.2517  0.2646 x8

[5]
Starting from a cell relaxed with PBE, the powder diffractogram of Ca3Pm3Te8Au was simulated for Cu Ka.

Principal peaks in the range 10° ≤ 2θ ≤ 90°, sorted by position:
- 2θ = 12.1°, d = 7.324 Å, intensity 31
- 2θ = 23.1°, d = 3.849 Å, intensity 22
- 2θ = 28.0°, d = 3.191 Å, intensity 100
- 2θ = 28.7°, d = 3.113 Å, intensity 44
- 2θ = 39.6°, d = 2.277 Å, intensity 19
- 2θ = 40.2°, d = 2.242 Å, intensity 34
- 2θ = 40.3°, d = 2.235 Å, intensity 18
- 2θ = 40.7°, d = 2.215 Å, intensity 33

Cell and atoms:
Unit cell a=15.2081 b=9.1097 c=8.9425 alpha=90.00 beta=125.03 gamma=90.00
Space group C2/m (No. 12)
One atom of each set of equivalent atoms:
Ca  0.0000  0.0000  0.0000 x2
Ca  0.2500  0.2500  0.0000 x4
Pm  0.0000  0.5000  0.5000 x2
Pm  0.2500  0.2500  0.5000 x4
Te  0.0026  0.2706  0.2368 x8
Te  0.2178  0.0000  0.7175 x4
Te  0.2488  0.0000  0.2492 x4
Au  0.0000  0.0000  0.5000 x2

[6]
Starting from a cell relaxed with PBE, the powder diffractogram of CaPmTlAu was simulated for Cu Ka.

Principal peaks in the range 10° ≤ 2θ ≤ 90°, sorted by position:
- 2θ = 20.4°, d = 4.350 Å, intensity 7
- 2θ = 23.6°, d = 3.767 Å, intensity 15
- 2θ = 33.6°, d = 2.664 Å, intensity 100
- 2θ = 48.3°, d = 1.884 Å, intensity 18
- 2θ = 54.5°, d = 1.685 Å, intensity 7
- 2θ = 60.2°, d = 1.538 Å, intensity 38
- 2θ = 70.7°, d = 1.332 Å, intensity 12
- 2θ = 80.7°, d = 1.191 Å, intensity 17

Cell and atoms:
Unit cell a=7.5341 b=7.5341 c=7.5341 alpha=90.00 beta=90.00 gamma=90.00
Space group F-43m (No. 216)
One atom of each set of equivalent atoms:
Ca  0.0000  0.0000  0.0000 x4
Pm  0.0000  0.0000  0.5000 x4
Tl  0.2500  0.2500  0.7500 x4
Au  0.2500  0.2500  0.2500 x4

[7]
Starting from a cell relaxed with PBE, the powder diffractogram of Ca2Pr2Au3 was simulated for Cu Ka.

Principal peaks in the range 10° ≤ 2θ ≤ 90°, sorted by position:
- 2θ = 20.1°, d = 4.422 Å, intensity 54
- 2θ = 34.3°, d = 2.614 Å, intensity 96
- 2θ = 34.6°, d = 2.592 Å, intensity 100
- 2θ = 47.4°, d = 1.920 Å, intensity 26
- 2θ = 49.5°, d = 1.840 Å, intensity 34
- 2θ = 61.8°, d = 1.501 Å, intensity 23
- 2θ = 62.0°, d = 1.496 Å, intensity 18
- 2θ = 83.2°, d = 1.161 Å, intensity 16

Cell and atoms:
Unit cell a=8.9809 b=5.1813 c=9.0766 alpha=90.00 beta=109.15 gamma=90.00
Space group C2/m (No. 12)
One atom of each set of equivalent atoms:
Ca  0.1284  0.0000  0.3855 x4
Pr  0.1226  0.5000  0.8673 x4
Au  0.0000  0.5000  0.5000 x2
Au  0.2428  0.5000  0.2278 x4

[8]
Starting from a cell relaxed with PBE, the powder diffractogram of CaPr2Au6 was simulated for Cu Ka.

Principal peaks in the range 10° ≤ 2θ ≤ 90°, sorted by position:
- 2θ = 24.6°, d = 3.621 Å, intensity 30
- 2θ = 32.9°, d = 2.723 Å, intensity 100
- 2θ = 37.7°, d = 2.385 Å, intensity 94
- 2θ = 45.5°, d = 1.992 Å, intensity 37
- 2θ = 50.9°, d = 1.794 Å, intensity 29
- 2θ = 64.6°, d = 1.442 Å, intensity 39
- 2θ = 65.1°, d = 1.434 Å, intensity 28
- 2θ = 89.4°, d = 1.096 Å, intensity 17

Cell and atoms:
Unit cell a=8.2620 b=8.2620 c=3.6209 alpha=90.00 beta=90.00 gamma=120.00
Space group P6/mmm (No. 191)
One atom of each set of equivalent atoms:
Ca  0.0000  0.0000  0.0000 x1
Pr  0.3333  0.6667  0.0000 x2
Au  0.0000  0.3322  0.5000 x6

[9]
Starting from a cell relaxed with PBE, the powder diffractogram of Ca2PrAu2 was simulated for Cu Ka.

Principal peaks in the range 10° ≤ 2θ ≤ 90°, sorted by position:
- 2θ = 18.9°, d = 4.703 Å, intensity 34
- 2θ = 23.8°, d = 3.743 Å, intensity 28
- 2θ = 34.5°, d = 2.600 Å, intensity 26
- 2θ = 34.7°, d = 2.586 Å, intensity 100
- 2θ = 35.2°, d = 2.550 Å, intensity 24
- 2θ = 50.1°, d = 1.820 Å, intensity 18
- 2θ = 61.9°, d = 1.498 Å, intensity 19
- 2θ = 62.8°, d = 1.479 Å, intensity 18

Cell and atoms:
Unit cell a=5.0993 b=5.1992 c=11.0259 alpha=90.00 beta=90.00 gamma=90.00
Space group Pmmn (No. 59, origin choice 2)
One atom of each set of equivalent atoms:
Ca  0.2500  0.2500  0.0031 x2
Ca  0.2500  0.2500  0.3301 x2
Pr  0.2500  0.2500  0.6639 x2
Au  0.2500  0.7500  0.1647 x2
Au  0.2500  0.7500  0.5090 x2

[10]
Starting from a cell relaxed with PBE, the powder diffractogram of CaPtAu3 was simulated for Cu Ka.

Principal peaks in the range 10° ≤ 2θ ≤ 90°, sorted by position:
- 2θ = 17.2°, d = 5.152 Å, intensity 59
- 2θ = 23.7°, d = 3.754 Å, intensity 28
- 2θ = 35.3°, d = 2.542 Å, intensity 30
- 2θ = 36.8°, d = 2.443 Å, intensity 27
- 2θ = 38.6°, d = 2.331 Å, intensity 100
- 2θ = 41.8°, d = 2.161 Å, intensity 33
- 2θ = 42.0°, d = 2.153 Å, intensity 27
- 2θ = 42.4°, d = 2.133 Å, intensity 43

Cell and atoms:
Unit cell a=5.5678 b=13.5913 c=5.4810 alpha=90.00 beta=90.00 gamma=90.00
Space group Cmcm (No. 63)
One atom of each set of equivalent atoms:
Ca  0.0000  0.0901  0.2500 x4
Pt  0.0000  0.5000  0.0000 x4
Au  0.0000  0.3199  0.7500 x4
Au  0.2461  0.1446  0.7500 x8

[11]
Starting from a cell relaxed with PBE, the powder diffractogram of Ca2PtAu was simulated for Cu Ka.

Principal peaks in the range 10° ≤ 2θ ≤ 90°, sorted by position:
- 2θ = 25.0°, d = 3.567 Å, intensity 50
- 2θ = 35.6°, d = 2.523 Å, intensity 100
- 2θ = 44.0°, d = 2.060 Å, intensity 16
- 2θ = 51.2°, d = 1.784 Å, intensity 18
- 2θ = 57.8°, d = 1.595 Å, intensity 22
- 2θ = 63.9°, d = 1.456 Å, intensity 36
- 2θ = 75.4°, d = 1.261 Å, intensity 11
- 2θ = 86.2°, d = 1.128 Å, intensity 16

Cell and atoms:
Unit cell a=7.1347 b=7.1347 c=7.1347 alpha=90.00 beta=90.00 gamma=90.00
Space group Fm-3m (No. 225)
One atom of each set of equivalent atoms:
Ca  0.2500  0.2500  0.2500 x8
Pt  0.0000  0.0000  0.0000 x4
Au  0.0000  0.0000  0.5000 x4

[12]
Starting from a cell relaxed with PBE, the powder diffractogram of CaPt2Au4 was simulated for Cu Ka.

Principal peaks in the range 10° ≤ 2θ ≤ 90°, sorted by position:
- 2θ = 18.0°, d = 4.922 Å, intensity 41
- 2θ = 36.5°, d = 2.461 Å, intensity 91
- 2θ = 37.3°, d = 2.410 Å, intensity 22
- 2θ = 37.4°, d = 2.403 Å, intensity 22
- 2θ = 41.0°, d = 2.201 Å, intensity 38
- 2θ = 41.7°, d = 2.168 Å, intensity 34
- 2θ = 41.8°, d = 2.160 Å, intensity 100
- 2θ = 42.3°, d = 2.137 Å, intensity 42

Cell and atoms:
Unit cell a=8.8641 b=6.9548 c=5.5176 alpha=90.00 beta=128.20 gamma=90.00
Space group C2/m (No. 12)
One atom of each set of equivalent atoms:
Ca  0.0000  0.0000  0.0000 x2
Pt  0.0004  0.5000  0.2504 x4
Au  0.2027  0.2028  0.7033 x8

[13]
Starting from a cell relaxed with PBE, the powder diffractogram of CaPuAu10 was simulated for Cu Ka.

Principal peaks in the range 10° ≤ 2θ ≤ 90°, sorted by position:
- 2θ = 18.3°, d = 4.838 Å, intensity 35
- 2θ = 37.2°, d = 2.419 Å, intensity 27
- 2θ = 37.3°, d = 2.409 Å, intensity 100
- 2θ = 37.5°, d = 2.398 Å, intensity 49
- 2θ = 38.3°, d = 2.352 Å, intensity 56
- 2θ = 41.8°, d = 2.161 Å, intensity 30
- 2θ = 42.0°, d = 2.151 Å, intensity 58
- 2θ = 79.6°, d = 1.204 Å, intensity 28

Cell and atoms:
Unit cell a=4.7048 b=5.5747 c=9.7339 alpha=90.00 beta=90.00 gamma=90.00
Space group Pmmm (No. 47)
One atom of each set of equivalent atoms:
Ca  0.0000  0.0000  0.0000 x1
Pu  0.0000  0.5000  0.5000 x1
Au  0.0000  0.0000  0.3319 x2
Au  0.0000  0.5000  0.1643 x2
Au  0.5000  0.0000  0.5000 x1
Au  0.5000  0.2517  0.2522 x4
Au  0.5000  0.5000  0.0000 x1

[14]
Starting from a cell relaxed with PBE, the powder diffractogram of CaReAu2 was simulated for Cu Ka.

Principal peaks in the range 10° ≤ 2θ ≤ 90°, sorted by position:
- 2θ = 13.6°, d = 6.494 Å, intensity 67
- 2θ = 35.1°, d = 2.555 Å, intensity 100
- 2θ = 38.5°, d = 2.341 Å, intensity 88
- 2θ = 41.0°, d = 2.202 Å, intensity 20
- 2θ = 42.3°, d = 2.137 Å, intensity 60
- 2θ = 43.7°, d = 2.070 Å, intensity 31
- 2θ = 62.5°, d = 1.487 Å, intensity 38
- 2θ = 76.8°, d = 1.241 Å, intensity 33

Cell and atoms:
Unit cell a=2.8382 b=4.1392 c=6.4940 alpha=90.00 beta=90.00 gamma=90.00
Space group Pmmm (No. 47)
One atom of each set of equivalent atoms:
Ca  0.0000  0.0000  0.0000 x1
Re  0.0000  0.0000  0.5000 x1
Au  0.5000  0.5000  0.2839 x2